Calculated powder diffractogram of Lu2HfNi4Ge4 for Cu Kα (weighted mean of Kα1 and Kα2), from a cell relaxed with GGA-PBE.
Intensities are scaled so that the largest is 1000.

Structural model:
```
data_Lu2HfNi4Ge4
_chemical_formula_sum 'Lu2 Hf1 Ni4 Ge4'
_symmetry_space_group_name_H-M 'P 1'
_symmetry_Int_Tables_number 1
_symmetry_space_group_name_Hall 'P 1'
_cell_length_a 7.6419
_cell_length_b 7.6419
_cell_length_c 7.6419
_cell_angle_alpha 149.75
_cell_angle_beta 129.07
_cell_angle_gamma 60.39
loop_
_atom_site_label
_atom_site_type_symbol
_atom_site_fract_x
_atom_site_fract_y
_atom_site_fract_z
_atom_site_occupancy
Lu1 Lu 0.1289 0.1289 0.0000 1
Lu2 Lu 0.8711 0.8711 0.0000 1
Hf1 Hf 0.5000 0.0000 0.5000 1
Ni1 Ni 0.1262 0.3231 0.8031 1
Ni2 Ni 0.4799 0.6769 0.8031 1
Ni3 Ni 0.5201 0.3231 0.1969 1
Ni4 Ni 0.8738 0.6769 0.1969 1
Ge1 Ge 0.2062 0.5000 0.7062 1
Ge2 Ge 0.2867 0.7867 0.5000 1
Ge3 Ge 0.7133 0.2133 0.5000 1
Ge4 Ge 0.7938 0.5000 0.2938 1
```

Peak list (12 most intense, 10 to 80 degrees two-theta, by angle)
two_theta  d [Å]  Rel. int.
24.33  3.658  140
27.14  3.286  132
36.07  2.490  1000
36.66  2.451  323
37.93  2.372  888
41.02  2.200  284
45.49  1.994  340
46.29  1.961  246
49.85  1.829  132
59.79  1.547  155
66.92  1.398  160
77.86  1.227  135